[1]
For K2Li4UO6, DFT lattice parameters and positions (GGA-PBE) gives the simulated X-ray diffraction stick pattern in this record (a wavelength of 1.5418 Å).

Atomic structure:
Cell: 6.1212 6.1212 5.6737 Å, 90.00 90.00 120.00°
Space group P-3m1 (No. 164)
Inequivalent atoms, fractional coordinates:
K 0.3333 0.6667 0.0302 (multiplicity 2)
Li 0.0000 0.0000 0.0000 (multiplicity 1)
Li 0.0000 0.5000 0.5000 (multiplicity 3)
U 0.0000 0.0000 0.5000 (multiplicity 1)
O 0.1635 0.3271 0.7051 (multiplicity 6)

Top 12 peaks for 10 to 80 degrees two-theta, in order of rising 2θ:
h k l, 2θ (°), d (Å), I_rel
0 0 1, 15.62, 5.674, 194
1 0 0, 16.72, 5.301, 618
0 1 1, 22.96, 3.873, 1000
1 1 0, 29.18, 3.061, 303
0 1 2, 35.90, 2.501, 149
0 2 1, 37.45, 2.401, 326
1 1 2, 43.50, 2.081, 292
0 2 2, 46.91, 1.937, 140
1 2 1, 48.16, 1.889, 279
1 0 3, 51.29, 1.781, 101
0 3 2, 61.86, 1.500, 100
3 1 1, 65.59, 1.423, 112

[2]
For UH2O4, DFT lattice parameters and positions (GGA-PBE) gives the simulated X-ray diffraction stick pattern in this record (a wavelength of 1.5418 Å).

Atomic structure:
Cell: 4.2566 10.4074 6.9533 Å, 90.00 90.00 90.00°
Space group Cmce (No. 64)
Inequivalent atoms, fractional coordinates:
U 0.0000 0.0000 0.0000 (multiplicity 4)
H 0.0000 0.1644 0.3660 (multiplicity 8)
O 0.0000 0.0695 0.3524 (multiplicity 8)
O 0.0000 0.1625 0.9052 (multiplicity 8)

Top 12 peaks for 10 to 80 degrees two-theta, in order of rising 2θ:
h k l, 2θ (°), d (Å), I_rel
0 2 0, 17.04, 5.204, 732
0 0 2, 25.62, 3.477, 278
1 1 1, 25.99, 3.428, 1000
0 2 2, 30.93, 2.891, 306
1 3 1, 35.80, 2.508, 349
2 0 0, 42.48, 2.128, 126
0 4 2, 43.44, 2.083, 132
1 1 3, 45.40, 1.998, 295
2 2 0, 46.08, 1.970, 121
1 5 1, 50.55, 1.806, 209
1 3 3, 52.09, 1.756, 181
2 2 2, 53.46, 1.714, 140

[3]
For Li2SnP2O7, DFT lattice parameters and positions (GGA-PBE) gives the simulated X-ray diffraction stick pattern in this record (a wavelength of 1.5418 Å).

Atomic structure:
Cell: 15.8471 5.2358 9.4640 Å, 90.00 116.35 90.00°
Space group C2/c (No. 15)
Inequivalent atoms, fractional coordinates:
Li 0.1958 0.1431 0.0522 (multiplicity 8)
Sn 0.0000 0.0000 0.0000 (multiplicity 4)
P 0.1082 0.3774 0.3182 (multiplicity 8)
O 0.0000 0.4980 0.2500 (multiplicity 4)
O 0.1152 0.1644 0.4357 (multiplicity 8)
O 0.1195 0.2676 0.1763 (multiplicity 8)
O 0.1720 0.3960 0.8919 (multiplicity 8)

Top 12 peaks for 10 to 80 degrees two-theta, in order of rising 2θ:
h k l, 2θ (°), d (Å), I_rel
2 0 0, 12.47, 7.100, 990
1 1 0, 18.06, 4.913, 207
4 0 -2, 24.54, 3.628, 246
3 1 0, 25.37, 3.511, 436
1 1 -2, 25.56, 3.486, 1000
3 1 -2, 27.12, 3.288, 328
2 0 2, 28.92, 3.087, 194
1 1 2, 29.87, 2.991, 266
6 0 -2, 34.23, 2.619, 197
4 0 -4, 38.58, 2.333, 201
4 2 0, 42.92, 2.107, 176
2 2 -4, 52.53, 1.742, 165